# Y6ZrS8
Theoretical XRD peak list, Cu Kα. Input: a PBE-relaxed structure.

Structure:
Cell: 7.7702 7.7702 7.7702 Å, 60.00 60.00 60.00°
Sites, in units of the cell vectors:
Y: 0.0000 0.0000 0.5000
Y: 0.0000 0.5000 0.0000
Y: 0.0000 0.5000 0.5000
Y: 0.5000 0.0000 0.0000
Y: 0.5000 0.0000 0.5000
Y: 0.5000 0.5000 0.0000
Zr: 0.0000 0.0000 0.0000
S: 0.2462 0.2462 0.7538
S: 0.2462 0.7538 0.2462
S: 0.2462 0.7538 0.7538
S: 0.2500 0.2500 0.2500
S: 0.7500 0.7500 0.7500
S: 0.7538 0.2462 0.2462
S: 0.7538 0.2462 0.7538
S: 0.7538 0.7538 0.2462

The 10 most intense peaks (5° ≤ 2θ ≤ 70°), by angle:
| 2θ/deg | Rel. int. |
| --- | --- |
| 13.96 | 13 |
| 16.13 | 6 |
| 22.89 | 5 |
| 26.91 | 7 |
| 28.13 | 32 |
| 32.59 | 100 |
| 46.76 | 69 |
| 55.47 | 16 |
| 58.16 | 23 |
| 68.28 | 11 |

# Y2ZrS5
Theoretical XRD peak list, Cu Kα. Input: a PBE-relaxed structure.

Structure:
Cell: 11.6341 7.7702 7.2826 Å, 90.00 90.00 90.00°
Sites, in units of the cell vectors:
Y: 0.1793 0.0029 0.0202
Y: 0.1793 0.4971 0.0202
Y: 0.3207 0.5029 0.5202
Y: 0.3207 0.9971 0.5202
Y: 0.6793 0.0029 0.4798
Y: 0.6793 0.4971 0.4798
Y: 0.8207 0.5029 0.9798
Y: 0.8207 0.9971 0.9798
Zr: 0.0065 0.7500 0.5786
Zr: 0.4935 0.2500 0.0786
Zr: 0.5065 0.7500 0.9214
Zr: 0.9935 0.2500 0.4214
S: 0.0029 0.7500 0.9490
S: 0.0953 0.0374 0.6597
S: 0.0953 0.4626 0.6597
S: 0.1813 0.7500 0.3299
S: 0.2080 0.2500 0.3079
S: 0.2920 0.7500 0.8079
S: 0.3187 0.2500 0.8299
S: 0.4047 0.5374 0.1597
S: 0.4047 0.9626 0.1597
S: 0.4971 0.2500 0.4490
S: 0.5029 0.7500 0.5510
S: 0.5953 0.0374 0.8403
S: 0.5953 0.4626 0.8403
S: 0.6813 0.7500 0.1701
S: 0.7080 0.2500 0.1921
S: 0.7920 0.7500 0.6921
S: 0.8187 0.2500 0.6701
S: 0.9047 0.5374 0.3403
S: 0.9047 0.9626 0.3403
S: 0.9971 0.2500 0.0510

The 10 most intense peaks (5° ≤ 2θ ≤ 70°), by angle:
| 2θ/deg | Rel. int. |
| --- | --- |
| 24.45 | 48 |
| 26.03 | 91 |
| 27.12 | 54 |
| 27.61 | 60 |
| 34.94 | 45 |
| 37.21 | 100 |
| 38.67 | 39 |
| 46.79 | 60 |
| 47.21 | 58 |
| 53.51 | 31 |

# Yb4S7
Theoretical XRD peak list, Cu Kα. Input: a PBE-relaxed structure.

Structure:
Cell: 8.8595 8.8595 8.8595 Å, 144.88 144.88 50.51°
Sites, in units of the cell vectors:
Yb: 0.1140 0.1140 0.5074
Yb: 0.3933 0.8860 0.0000
Yb: 0.6067 0.6067 0.4926
Yb: 0.8860 0.3933 0.0000
S: 0.0000 0.5000 0.5000
S: 0.0642 0.5736 0.0000
S: 0.4264 0.4264 0.4905
S: 0.5000 0.0000 0.5000
S: 0.5000 0.5000 0.0000
S: 0.5736 0.0642 0.0000
S: 0.9358 0.9358 0.5095

The 10 most intense peaks (5° ≤ 2θ ≤ 70°), by angle:
| 2θ/deg | Rel. int. |
| --- | --- |
| 22.19 | 35 |
| 26.07 | 100 |
| 33.54 | 55 |
| 35.40 | 14 |
| 40.58 | 55 |
| 41.39 | 39 |
| 48.15 | 32 |
| 53.62 | 14 |
| 55.56 | 26 |
| 65.33 | 20 |

# ZnS
Theoretical XRD peak list, Cu Kα. Input: a PBE-relaxed structure.

Structure:
Cell: 56.6755 56.6755 56.6755 Å, 3.89 3.89 3.89°
Sites, in units of the cell vectors:
Zn: 0.0000 0.0000 0.0000
Zn: 0.0371 0.0371 0.0371
Zn: 0.0926 0.0926 0.0926
Zn: 0.1667 0.1667 0.1667
Zn: 0.2222 0.2222 0.2222
Zn: 0.2778 0.2778 0.2778
Zn: 0.3148 0.3148 0.3148
Zn: 0.3889 0.3889 0.3889
Zn: 0.4444 0.4444 0.4444
Zn: 0.4815 0.4815 0.4815
Zn: 0.5185 0.5185 0.5185
Zn: 0.5741 0.5741 0.5741
Zn: 0.6296 0.6296 0.6296
Zn: 0.6852 0.6852 0.6852
Zn: 0.7407 0.7407 0.7407
Zn: 0.7963 0.7963 0.7963
Zn: 0.8704 0.8704 0.8704
Zn: 0.9259 0.9259 0.9259
S: 0.0139 0.0139 0.0139
S: 0.0509 0.0509 0.0509
S: 0.1065 0.1065 0.1065
S: 0.1806 0.1806 0.1806
S: 0.2361 0.2361 0.2361
S: 0.2917 0.2917 0.2917
S: 0.3287 0.3287 0.3287
S: 0.4028 0.4028 0.4028
S: 0.4583 0.4583 0.4583
S: 0.4954 0.4954 0.4954
S: 0.5324 0.5324 0.5324
S: 0.5880 0.5880 0.5880
S: 0.6435 0.6435 0.6435
S: 0.6991 0.6991 0.6991
S: 0.7546 0.7546 0.7546
S: 0.8102 0.8102 0.8102
S: 0.8843 0.8843 0.8843
S: 0.9398 0.9398 0.9398

The 10 most intense peaks (5° ≤ 2θ ≤ 70°), by angle:
| 2θ/deg | Rel. int. |
| --- | --- |
| 27.76 | 22 |
| 28.22 | 91 |
| 28.37 | 82 |
| 28.58 | 15 |
| 28.77 | 21 |
| 29.40 | 28 |
| 46.73 | 35 |
| 47.23 | 100 |
| 49.54 | 15 |
| 56.02 | 67 |

# ZnS2
Theoretical XRD peak list, Cu Kα. Input: a PBE-relaxed structure.

Structure:
Cell: 5.9965 5.9965 5.9965 Å, 90.00 90.00 90.00°
Sites, in units of the cell vectors:
Zn: 0.0000 0.0000 0.0000
Zn: 0.0000 0.5000 0.5000
Zn: 0.5000 0.0000 0.5000
Zn: 0.5000 0.5000 0.0000
S: 0.1000 0.6000 0.9000
S: 0.1000 0.9000 0.4000
S: 0.4000 0.1000 0.9000
S: 0.4000 0.4000 0.4000
S: 0.6000 0.6000 0.6000
S: 0.6000 0.9000 0.1000
S: 0.9000 0.1000 0.6000
S: 0.9000 0.4000 0.1000

The 10 most intense peaks (5° ≤ 2θ ≤ 70°), by angle:
| 2θ/deg | Rel. int. |
| --- | --- |
| 25.73 | 27 |
| 29.80 | 100 |
| 33.41 | 24 |
| 36.71 | 23 |
| 42.65 | 52 |
| 50.48 | 73 |
| 52.89 | 16 |
| 55.23 | 12 |
| 57.51 | 15 |
| 68.17 | 18 |

# ZnS
Theoretical XRD peak list, Cu Kα. Input: a PBE-relaxed structure.

Structure:
Cell: 6.7937 3.9212 7.6346 Å, 90.00 105.36 90.00°
Sites, in units of the cell vectors:
Zn: 0.2077 0.0000 0.1381
Zn: 0.2923 0.5000 0.8619
Zn: 0.7077 0.5000 0.1381
Zn: 0.7923 0.0000 0.8619
S: 0.1034 0.0000 0.7875
S: 0.3966 0.5000 0.2125
S: 0.6034 0.5000 0.7875
S: 0.8966 0.0000 0.2125

The 10 most intense peaks (5° ≤ 2θ ≤ 70°), by angle:
| 2θ/deg | Rel. int. |
| --- | --- |
| 12.02 | 100 |
| 24.18 | 12 |
| 26.49 | 23 |
| 27.23 | 14 |
| 27.61 | 25 |
| 36.62 | 15 |
| 38.63 | 28 |
| 39.63 | 14 |
| 46.31 | 36 |
| 48.82 | 13 |

# ZnS
Theoretical XRD peak list, Cu Kα. Input: a PBE-relaxed structure.

Structure:
Cell: 5.4447 5.4447 5.4447 Å, 90.00 90.00 90.00°
Sites, in units of the cell vectors:
Zn: 0.0000 0.0000 0.0000
Zn: 0.0000 0.5000 0.5000
Zn: 0.5000 0.0000 0.5000
Zn: 0.5000 0.5000 0.0000
S: 0.2500 0.2500 0.2500
S: 0.2500 0.7500 0.7500
S: 0.7500 0.2500 0.7500
S: 0.7500 0.7500 0.2500

The 6 most intense peaks (5° ≤ 2θ ≤ 70°), by angle:
| 2θ/deg | Rel. int. |
| --- | --- |
| 28.39 | 100 |
| 32.90 | 12 |
| 47.22 | 61 |
| 56.02 | 41 |
| 58.75 | 3 |
| 68.99 | 9 |

# ZrS
Theoretical XRD peak list, Cu Kα. Input: a PBE-relaxed structure.

Structure:
Cell: 3.4546 3.4546 12.0765 Å, 90.00 90.00 90.00°
Sites, in units of the cell vectors:
Zr: 0.0000 0.0000 0.0000
Zr: 0.0000 0.5000 0.2500
Zr: 0.5000 0.0000 0.7500
Zr: 0.5000 0.5000 0.5000
S: 0.0000 0.0000 0.4166
S: 0.0000 0.5000 0.6666
S: 0.5000 0.0000 0.1666
S: 0.5000 0.5000 0.9166

The 10 most intense peaks (5° ≤ 2θ ≤ 70°), by angle:
| 2θ/deg | Rel. int. |
| --- | --- |
| 26.84 | 50 |
| 29.59 | 30 |
| 34.20 | 59 |
| 39.81 | 100 |
| 45.84 | 38 |
| 53.02 | 26 |
| 59.93 | 17 |
| 60.41 | 10 |
| 61.89 | 14 |
| 64.62 | 17 |

# Zr3S4
Theoretical XRD peak list, Cu Kα. Input: a PBE-relaxed structure.

Structure:
Cell: 7.4252 10.2154 3.6644 Å, 90.00 90.00 90.00°
Sites, in units of the cell vectors:
Zr: 0.0000 0.0000 0.0000
Zr: 0.2500 0.2500 0.5000
Zr: 0.2500 0.7500 0.5000
Zr: 0.5000 0.5000 0.0000
Zr: 0.7500 0.2500 0.5000
Zr: 0.7500 0.7500 0.5000
S: 0.0000 0.2619 0.0000
S: 0.0000 0.7381 0.0000
S: 0.2459 0.5000 0.5000
S: 0.2541 0.0000 0.5000
S: 0.5000 0.2381 0.0000
S: 0.5000 0.7619 0.0000
S: 0.7459 0.0000 0.5000
S: 0.7541 0.5000 0.5000

The 10 most intense peaks (5° ≤ 2θ ≤ 70°), by angle:
| 2θ/deg | Rel. int. |
| --- | --- |
| 14.75 | 36 |
| 29.75 | 18 |
| 30.01 | 18 |
| 34.39 | 100 |
| 35.14 | 46 |
| 49.08 | 17 |
| 49.77 | 17 |
| 49.98 | 64 |
| 61.78 | 16 |
| 62.38 | 16 |

# Zr3S2
Theoretical XRD peak list, Cu Kα. Input: a PBE-relaxed structure.

Structure:
Cell: 5.7943 5.7943 10.4924 Å, 90.00 90.00 120.00°
Sites, in units of the cell vectors:
Zr: 0.0000 0.3386 0.0000
Zr: 0.0052 0.3333 0.3333
Zr: 0.3281 0.9948 0.3333
Zr: 0.3333 0.0052 0.6667
Zr: 0.3386 0.0000 0.0000
Zr: 0.6614 0.6614 0.0000
Zr: 0.6667 0.6719 0.3333
Zr: 0.6719 0.6667 0.6667
Zr: 0.9948 0.3281 0.6667
S: 0.0000 0.0000 0.1650
S: 0.0000 0.0000 0.8350
S: 0.3333 0.6667 0.5017
S: 0.3333 0.6667 0.8316
S: 0.6667 0.3333 0.1684
S: 0.6667 0.3333 0.4983

The 10 most intense peaks (5° ≤ 2θ ≤ 70°), by angle:
| 2θ/deg | Rel. int. |
| --- | --- |
| 19.61 | 3 |
| 24.55 | 3 |
| 25.47 | 26 |
| 30.86 | 68 |
| 40.43 | 100 |
| 52.32 | 9 |
| 54.89 | 23 |
| 61.45 | 13 |
| 61.99 | 18 |
| 64.31 | 8 |

# Zr9S2
Theoretical XRD peak list, Cu Kα. Input: a PBE-relaxed structure.

Structure:
Cell: 11.9224 11.9224 11.9224 Å, 131.59 131.59 70.87°
Sites, in units of the cell vectors:
Zr: 0.0000 0.3203 0.3203
Zr: 0.0000 0.6797 0.6797
Zr: 0.0678 0.1455 0.5777
Zr: 0.0678 0.4902 0.9223
Zr: 0.0978 0.1986 0.8992
Zr: 0.1455 0.0678 0.0777
Zr: 0.1719 0.6425 0.5295
Zr: 0.1986 0.0978 0.3992
Zr: 0.1986 0.7994 0.1008
Zr: 0.2006 0.8014 0.3992
Zr: 0.2408 0.4908 0.7500
Zr: 0.3203 0.0000 0.8203
Zr: 0.3203 0.5000 0.3203
Zr: 0.3575 0.3870 0.5295
Zr: 0.3575 0.8281 0.9705
Zr: 0.3870 0.3575 0.0295
Zr: 0.4902 0.0678 0.4223
Zr: 0.4908 0.2408 0.2500
Zr: 0.5000 0.3203 0.8203
Zr: 0.5000 0.6797 0.1797
Zr: 0.5092 0.7592 0.7500
Zr: 0.5098 0.9322 0.5777
Zr: 0.6130 0.6425 0.9705
Zr: 0.6425 0.1719 0.0295
Zr: 0.6425 0.6130 0.4705
Zr: 0.6797 0.0000 0.1797
Zr: 0.6797 0.5000 0.6797
Zr: 0.7592 0.5092 0.2500
Zr: 0.7994 0.1986 0.6008
Zr: 0.8014 0.2006 0.8992
Zr: 0.8014 0.9022 0.6008
Zr: 0.8281 0.3575 0.4705
Zr: 0.8545 0.9322 0.9223
Zr: 0.9022 0.8014 0.1008
Zr: 0.9322 0.5098 0.0777
Zr: 0.9322 0.8545 0.4223
S: 0.1028 0.3528 0.2057
S: 0.1028 0.8972 0.7500
S: 0.3528 0.1028 0.7057
S: 0.3528 0.6472 0.2500
S: 0.6472 0.3528 0.7500
S: 0.6472 0.8972 0.2943
S: 0.8972 0.1028 0.2500
S: 0.8972 0.6472 0.7943

The 10 most intense peaks (5° ≤ 2θ ≤ 70°), by angle:
| 2θ/deg | Rel. int. |
| --- | --- |
| 31.78 | 38 |
| 33.37 | 11 |
| 33.57 | 51 |
| 34.39 | 60 |
| 35.91 | 100 |
| 36.78 | 29 |
| 38.24 | 12 |
| 45.66 | 13 |
| 58.22 | 11 |
| 65.68 | 17 |

# ScSb2
Theoretical XRD peak list, Cu Kα. Input: a PBE-relaxed structure.

Structure:
Cell: 6.6202 7.5798 3.3796 Å, 90.00 90.00 90.00°
Sites, in units of the cell vectors:
Sc: 0.0000 0.0000 0.0000
Sc: 0.5000 0.5000 0.5000
Sb: 0.1582 0.3686 0.0000
Sb: 0.3418 0.8686 0.5000
Sb: 0.6582 0.1314 0.5000
Sb: 0.8418 0.6314 0.0000

The 10 most intense peaks (5° ≤ 2θ ≤ 70°), by angle:
| 2θ/deg | Rel. int. |
| --- | --- |
| 27.11 | 100 |
| 28.93 | 29 |
| 29.45 | 52 |
| 29.68 | 61 |
| 31.99 | 71 |
| 38.13 | 24 |
| 39.94 | 21 |
| 42.67 | 30 |
| 44.79 | 34 |
| 45.19 | 70 |